Record 1
LiP2Br8: theoretical XRD peak list (Cu Kα (weighted mean of Kα1 and Kα2)), based on a GGA-PBE-relaxed structure.

Largest 12 diffraction maxima, by angle, 10° ≤ 2θ ≤ 90°:
| 2θ/deg | d (Å) | I (rel.) |
| --- | --- | --- |
| 15.17 | 5.840 | 61.2 |
| 18.38 | 4.828 | 27.5 |
| 23.78 | 3.741 | 100.0 |
| 24.05 | 3.700 | 36.5 |
| 24.65 | 3.611 | 30.4 |
| 26.14 | 3.409 | 45.5 |
| 28.66 | 3.115 | 37.4 |
| 28.77 | 3.103 | 56.1 |
| 31.53 | 2.838 | 35.4 |
| 32.42 | 2.762 | 40.7 |
| 36.03 | 2.492 | 27.9 |
| 46.62 | 1.948 | 31.6 |

Cell: 7.737 7.737 7.865 Å, 101.65 101.65 98.03°
Positions (direct):
1 Li 0.000 0.000 0.000
2 P 0.225 0.225 0.633
3 P 0.775 0.775 0.367
4 Br 0.018 0.323 0.778
5 Br 0.213 0.213 0.251
6 Br 0.323 0.018 0.778
7 Br 0.456 0.456 0.725
8 Br 0.544 0.544 0.275
9 Br 0.677 0.982 0.222
10 Br 0.787 0.787 0.749
11 Br 0.982 0.677 0.222

***

Record 2
NaLiAu: theoretical XRD peak list (Cu Kα (weighted mean of Kα1 and Kα2)), based on a GGA-PBE-relaxed structure.

Largest 12 diffraction maxima, by angle, 10° ≤ 2θ ≤ 90°:
| 2θ/deg | d (Å) | I (rel.) |
| --- | --- | --- |
| 17.14 | 5.172 | 89.1 |
| 19.41 | 4.573 | 34.5 |
| 27.02 | 3.301 | 100.0 |
| 31.32 | 2.856 | 13.1 |
| 34.69 | 2.586 | 20.6 |
| 36.68 | 2.450 | 65.4 |
| 37.73 | 2.384 | 20.7 |
| 40.11 | 2.248 | 22.3 |
| 41.71 | 2.165 | 20.1 |
| 43.92 | 2.062 | 27.5 |
| 51.37 | 1.779 | 16.0 |
| 54.05 | 1.697 | 16.1 |

Cell: 4.769 5.766 5.766 Å, 52.47 90.00 90.00°
Positions (direct):
1 Na 0.250 0.217 0.783
2 Na 0.750 0.783 0.217
3 Li 0.250 0.452 0.111
4 Li 0.750 0.111 0.452
5 Au 0.250 0.866 0.527
6 Au 0.750 0.527 0.866

***

Record 3
AcPr4Nd2Tm: theoretical XRD peak list (Cu Kα (weighted mean of Kα1 and Kα2)), based on a GGA-PBE-relaxed structure.

Largest 12 diffraction maxima, by angle, 10° ≤ 2θ ≤ 90°:
| 2θ/deg | d (Å) | I (rel.) |
| --- | --- | --- |
| 29.10 | 3.069 | 30.4 |
| 29.22 | 3.056 | 30.0 |
| 31.09 | 2.877 | 100.0 |
| 41.71 | 2.165 | 23.0 |
| 47.24 | 1.924 | 7.4 |
| 52.85 | 1.732 | 22.7 |
| 53.00 | 1.728 | 22.5 |
| 56.46 | 1.630 | 13.0 |
| 64.82 | 1.438 | 11.4 |
| 69.55 | 1.352 | 9.9 |
| 77.63 | 1.230 | 6.1 |
| 84.31 | 1.149 | 6.0 |

Cell: 6.112 6.138 7.696 Å, 90.00 90.09 90.00°
Positions (direct):
1 Ac 0.000 0.000 0.000
2 Pr 0.001 0.500 0.732
3 Pr 0.499 0.000 0.732
4 Pr 0.501 0.000 0.268
5 Pr 0.999 0.500 0.268
6 Nd 0.000 0.000 0.500
7 Nd 0.500 0.500 0.000
8 Tm 0.500 0.500 0.500

***

Record 4
NaS5Cl: theoretical XRD peak list (Cu Kα (weighted mean of Kα1 and Kα2)), based on a GGA-PBE-relaxed structure.

Largest 12 diffraction maxima, by angle, 10° ≤ 2θ ≤ 90°:
| 2θ/deg | d (Å) | I (rel.) |
| --- | --- | --- |
| 12.14 | 7.288 | 22.3 |
| 13.34 | 6.636 | 22.1 |
| 14.41 | 6.146 | 42.1 |
| 21.14 | 4.204 | 100.0 |
| 23.18 | 3.838 | 62.5 |
| 24.43 | 3.644 | 17.9 |
| 25.12 | 3.546 | 55.2 |
| 26.67 | 3.342 | 14.6 |
| 28.71 | 3.110 | 26.3 |
| 28.93 | 3.087 | 16.1 |
| 33.58 | 2.669 | 39.7 |
| 34.37 | 2.610 | 41.3 |

Cell: 4.271 7.133 7.979 Å, 110.35 101.26 92.61°
Positions (direct):
1 Na 0.000 0.000 0.000
2 S 0.178 0.754 0.610
3 S 0.195 0.421 0.932
4 S 0.524 0.960 0.599
5 S 0.779 0.775 0.430
6 S 0.806 0.544 0.888
7 Cl 0.571 0.175 0.158

***

Record 5
AcHg4Pb2: theoretical XRD peak list (Cu Kα (weighted mean of Kα1 and Kα2)), based on a GGA-PBE-relaxed structure.

Largest 12 diffraction maxima, by angle, 10° ≤ 2θ ≤ 90°:
| 2θ/deg | d (Å) | I (rel.) |
| --- | --- | --- |
| 17.04 | 5.202 | 6.4 |
| 26.74 | 3.334 | 12.8 |
| 33.30 | 2.691 | 100.0 |
| 34.48 | 2.601 | 49.6 |
| 45.99 | 1.973 | 8.0 |
| 49.26 | 1.850 | 7.7 |
| 49.56 | 1.839 | 18.2 |
| 58.73 | 1.572 | 15.7 |
| 61.02 | 1.518 | 36.3 |
| 69.92 | 1.345 | 9.5 |
| 82.35 | 1.171 | 8.1 |
| 83.02 | 1.163 | 8.6 |

Cell: 5.202 5.202 7.893 Å, 90.00 90.00 90.00°
Positions (direct):
1 Ac 0.000 0.000 0.000
2 Hg 0.000 0.500 0.280
3 Hg 0.000 0.500 0.720
4 Hg 0.500 0.000 0.280
5 Hg 0.500 0.000 0.720
6 Pb 0.000 0.000 0.500
7 Pb 0.500 0.500 0.000

***

Record 6
LiAgSb2Pb2: theoretical XRD peak list (Cu Kα (weighted mean of Kα1 and Kα2)), based on a GGA-PBE-relaxed structure.

Largest 12 diffraction maxima, by angle, 10° ≤ 2θ ≤ 90°:
| 2θ/deg | d (Å) | I (rel.) |
| --- | --- | --- |
| 24.37 | 3.652 | 25.8 |
| 26.82 | 3.324 | 45.1 |
| 26.92 | 3.312 | 44.2 |
| 29.57 | 3.021 | 41.5 |
| 31.03 | 2.882 | 59.4 |
| 36.59 | 2.456 | 100.0 |
| 38.36 | 2.346 | 73.4 |
| 45.98 | 1.974 | 19.2 |
| 53.88 | 1.702 | 19.6 |
| 54.30 | 1.689 | 20.6 |
| 68.06 | 1.378 | 19.6 |
| 68.30 | 1.373 | 20.7 |

Cell: 8.681 8.681 8.681 Å, 135.14 65.44 134.97°
Positions (direct):
1 Li 0.250 0.250 0.000
2 Li 0.750 0.750 0.000
3 Ag 0.250 0.750 0.500
4 Ag 0.750 0.250 0.500
5 Sb 0.119 0.241 0.360
6 Sb 0.381 0.741 0.121
7 Sb 0.619 0.259 0.879
8 Sb 0.881 0.759 0.640
9 Pb 0.163 0.743 0.906
10 Pb 0.337 0.243 0.580
11 Pb 0.663 0.757 0.420
12 Pb 0.837 0.257 0.094

***

Record 7
La2Pm3Dy5: theoretical XRD peak list (Cu Kα (weighted mean of Kα1 and Kα2)), based on a GGA-PBE-relaxed structure.

Largest 12 diffraction maxima, by angle, 10° ≤ 2θ ≤ 90°:
| 2θ/deg | d (Å) | I (rel.) |
| --- | --- | --- |
| 29.60 | 3.018 | 100.0 |
| 30.90 | 2.894 | 94.9 |
| 32.01 | 2.796 | 19.4 |
| 33.37 | 2.685 | 44.5 |
| 34.39 | 2.607 | 16.0 |
| 36.40 | 2.468 | 18.4 |
| 48.86 | 1.864 | 20.5 |
| 57.33 | 1.607 | 15.8 |
| 58.11 | 1.588 | 15.8 |
| 60.46 | 1.531 | 21.6 |
| 63.41 | 1.467 | 23.4 |
| 68.43 | 1.371 | 18.1 |

Cell: 9.917 9.917 9.255 Å, 108.30 108.30 114.42°
Positions (direct):
1 La 0.024 0.277 0.046
2 La 0.277 0.024 0.546
3 La 0.723 0.976 0.454
4 La 0.976 0.723 0.954
5 Pm 0.023 0.977 0.750
6 Pm 0.229 0.483 0.457
7 Pm 0.483 0.229 0.957
8 Pm 0.517 0.771 0.043
9 Pm 0.771 0.517 0.543
10 Pm 0.977 0.023 0.250
11 Dy 0.117 0.382 0.743
12 Dy 0.222 0.778 0.750
13 Dy 0.277 0.723 0.250
14 Dy 0.382 0.117 0.243
15 Dy 0.476 0.524 0.250
16 Dy 0.524 0.476 0.750
17 Dy 0.618 0.883 0.757
18 Dy 0.723 0.277 0.750
19 Dy 0.778 0.222 0.250
20 Dy 0.883 0.618 0.257

***

Record 8
La7Nd2Tm: theoretical XRD peak list (Cu Kα (weighted mean of Kα1 and Kα2)), based on a GGA-PBE-relaxed structure.

Largest 12 diffraction maxima, by angle, 10° ≤ 2θ ≤ 90°:
| 2θ/deg | d (Å) | I (rel.) |
| --- | --- | --- |
| 28.88 | 3.092 | 53.7 |
| 29.94 | 2.984 | 100.0 |
| 30.01 | 2.978 | 37.3 |
| 31.15 | 2.871 | 25.3 |
| 31.89 | 2.806 | 46.9 |
| 35.63 | 2.520 | 43.8 |
| 38.80 | 2.321 | 17.1 |
| 48.71 | 1.870 | 17.3 |
| 49.23 | 1.851 | 13.8 |
| 60.62 | 1.528 | 15.2 |
| 61.20 | 1.514 | 16.2 |
| 62.36 | 1.489 | 13.6 |

Cell: 6.793 3.514 15.318 Å, 90.00 102.73 90.00°
Positions (direct):
1 La 0.000 0.000 0.000
2 La 0.167 0.000 0.803
3 La 0.188 0.500 0.378
4 La 0.364 0.000 0.197
5 La 0.636 0.000 0.803
6 La 0.812 0.500 0.622
7 La 0.833 0.000 0.197
8 Nd 0.293 0.000 0.584
9 Nd 0.707 0.000 0.416
10 Tm 0.500 0.500 0.000

***

Record 9
KNaNiI4: theoretical XRD peak list (Cu Kα (weighted mean of Kα1 and Kα2)), based on a GGA-PBE-relaxed structure.

Largest 12 diffraction maxima, by angle, 10° ≤ 2θ ≤ 90°:
| 2θ/deg | d (Å) | I (rel.) |
| --- | --- | --- |
| 16.87 | 5.257 | 24.8 |
| 25.55 | 3.487 | 100.0 |
| 26.41 | 3.374 | 39.4 |
| 26.89 | 3.316 | 40.2 |
| 28.03 | 3.183 | 22.5 |
| 28.67 | 3.113 | 27.1 |
| 29.11 | 3.067 | 27.0 |
| 29.44 | 3.034 | 34.9 |
| 29.58 | 3.020 | 32.8 |
| 37.07 | 2.425 | 30.1 |
| 43.55 | 2.078 | 29.0 |
| 44.06 | 2.055 | 24.5 |

Cell: 7.302 8.071 9.702 Å, 90.00 108.40 90.00°
Positions (direct):
1 K 0.221 0.250 0.054
2 K 0.779 0.750 0.946
3 Na 0.232 0.250 0.557
4 Na 0.768 0.750 0.443
5 Ni 0.241 0.750 0.320
6 Ni 0.759 0.250 0.680
7 I 0.002 0.505 0.273
8 I 0.002 0.995 0.273
9 I 0.393 0.750 0.116
10 I 0.424 0.750 0.590
11 I 0.576 0.250 0.410
12 I 0.607 0.250 0.884
13 I 0.998 0.005 0.727
14 I 0.998 0.495 0.727

***

Record 10
In2PdPt6: theoretical XRD peak list (Cu Kα (weighted mean of Kα1 and Kα2)), based on a GGA-PBE-relaxed structure.

Largest 12 diffraction maxima, by angle, 10° ≤ 2θ ≤ 90°:
| 2θ/deg | d (Å) | I (rel.) |
| --- | --- | --- |
| 19.96 | 4.449 | 23.7 |
| 36.36 | 2.471 | 23.1 |
| 37.04 | 2.427 | 40.2 |
| 37.89 | 2.374 | 47.4 |
| 39.23 | 2.296 | 54.0 |
| 39.87 | 2.261 | 89.6 |
| 40.13 | 2.247 | 100.0 |
| 40.55 | 2.225 | 22.6 |
| 43.44 | 2.083 | 28.1 |
| 74.18 | 1.278 | 34.3 |
| 74.95 | 1.267 | 32.0 |
| 77.19 | 1.236 | 23.7 |

Cell: 2.896 7.423 7.423 Å, 106.35 90.00 90.00°
Positions (direct):
1 In 0.000 0.200 0.800
2 In 0.000 0.800 0.200
3 Pd 0.500 0.469 0.469
4 Pt 0.000 0.200 0.200
5 Pt 0.000 0.574 0.807
6 Pt 0.000 0.807 0.574
7 Pt 0.500 0.088 0.466
8 Pt 0.500 0.466 0.088
9 Pt 0.500 0.922 0.922

***

Record 11
RbOs2Cl8: theoretical XRD peak list (Cu Kα (weighted mean of Kα1 and Kα2)), based on a GGA-PBE-relaxed structure.

Largest 12 diffraction maxima, by angle, 10° ≤ 2θ ≤ 90°:
| 2θ/deg | d (Å) | I (rel.) |
| --- | --- | --- |
| 10.33 | 8.563 | 100.0 |
| 12.43 | 7.123 | 67.6 |
| 13.26 | 6.677 | 32.6 |
| 18.67 | 4.753 | 76.4 |
| 21.41 | 4.151 | 47.6 |
| 21.72 | 4.091 | 47.3 |
| 23.65 | 3.762 | 30.5 |
| 24.10 | 3.693 | 41.3 |
| 33.04 | 2.711 | 43.2 |
| 36.49 | 2.462 | 36.9 |
| 37.86 | 2.376 | 33.9 |
| 49.41 | 1.844 | 19.6 |

Cell: 4.926 7.555 9.361 Å, 108.64 104.04 90.82°
Positions (direct):
1 Rb 0.000 0.000 0.000
2 Os 0.302 0.410 0.615
3 Os 0.698 0.590 0.385
4 Cl 0.208 0.126 0.423
5 Cl 0.211 0.561 0.414
6 Cl 0.389 0.276 0.808
7 Cl 0.395 0.711 0.801
8 Cl 0.605 0.289 0.199
9 Cl 0.611 0.724 0.192
10 Cl 0.789 0.439 0.586
11 Cl 0.792 0.874 0.577

***

Record 12
SrYHRh2: theoretical XRD peak list (Cu Kα (weighted mean of Kα1 and Kα2)), based on a GGA-PBE-relaxed structure.

Largest 12 diffraction maxima, by angle, 10° ≤ 2θ ≤ 90°:
| 2θ/deg | d (Å) | I (rel.) |
| --- | --- | --- |
| 12.69 | 6.977 | 100.0 |
| 18.37 | 4.831 | 59.6 |
| 25.54 | 3.488 | 65.8 |
| 29.11 | 3.068 | 54.1 |
| 31.64 | 2.828 | 30.8 |
| 37.23 | 2.415 | 47.9 |
| 39.48 | 2.282 | 23.8 |
| 45.69 | 1.986 | 53.0 |
| 49.64 | 1.837 | 17.0 |
| 53.67 | 1.708 | 16.3 |
| 60.34 | 1.534 | 22.7 |
| 66.08 | 1.414 | 17.2 |

Cell: 4.831 4.831 6.977 Å, 90.00 90.00 90.00°
Positions (direct):
1 Sr 0.000 0.000 0.000
2 Y 0.000 0.000 0.500
3 H 0.500 0.500 0.000
4 Rh 0.000 0.500 0.500
5 Rh 0.500 0.000 0.500

***

Record 13
CdInSb: theoretical XRD peak list (Cu Kα (weighted mean of Kα1 and Kα2)), based on a GGA-PBE-relaxed structure.

Largest 12 diffraction maxima, by angle, 10° ≤ 2θ ≤ 90°:
| 2θ/deg | d (Å) | I (rel.) |
| --- | --- | --- |
| 32.70 | 2.739 | 100.0 |
| 33.36 | 2.686 | 31.2 |
| 38.13 | 2.360 | 65.2 |
| 54.58 | 1.681 | 22.4 |
| 55.46 | 1.657 | 21.1 |
| 65.10 | 1.433 | 13.0 |
| 65.49 | 1.425 | 25.1 |
| 66.28 | 1.410 | 12.0 |
| 68.52 | 1.369 | 11.0 |
| 70.06 | 1.343 | 3.3 |
| 81.57 | 1.180 | 6.8 |
| 89.97 | 1.091 | 11.2 |

Cell: 3.363 3.363 8.059 Å, 90.00 90.00 120.00°
Positions (direct):
1 Cd 0.000 0.000 0.000
2 In 0.667 0.333 0.327
3 Sb 0.333 0.667 0.674

***

Record 14
TmAlOs2C: theoretical XRD peak list (Cu Kα (weighted mean of Kα1 and Kα2)), based on a GGA-PBE-relaxed structure.

Largest 12 diffraction maxima, by angle, 10° ≤ 2θ ≤ 90°:
| 2θ/deg | d (Å) | I (rel.) |
| --- | --- | --- |
| 27.02 | 3.300 | 27.0 |
| 29.47 | 3.031 | 29.5 |
| 33.26 | 2.694 | 83.4 |
| 34.63 | 2.590 | 100.0 |
| 35.56 | 2.525 | 17.7 |
| 40.77 | 2.213 | 34.3 |
| 41.80 | 2.161 | 12.3 |
| 44.80 | 2.023 | 25.3 |
| 46.15 | 1.967 | 27.2 |
| 58.97 | 1.566 | 12.9 |
| 61.48 | 1.508 | 27.8 |
| 63.26 | 1.470 | 25.8 |

Cell: 5.883 5.883 7.241 Å, 90.00 90.00 140.93°
Positions (direct):
1 Tm 0.048 0.952 0.750
2 Tm 0.952 0.048 0.250
3 Al 0.231 0.769 0.250
4 Al 0.769 0.231 0.750
5 Os 0.335 0.665 0.560
6 Os 0.335 0.665 0.940
7 Os 0.665 0.335 0.060
8 Os 0.665 0.335 0.440
9 C 0.500 0.500 0.000
10 C 0.500 0.500 0.500